# 1
For MgFeAsO5, DFT lattice parameters and positions (GGA+U) gives the computed XRD peak list in this record (Cu Kα (λ = 1.5418 Å)).
Kinematic intensities with the Lorentz-polarization factor, no thermal factor.

Principal peaks in the range 10 to 90 degrees two-theta, in order of rising 2θ:
| 2θ/deg | I_rel |
| --- | --- |
| 15.08 | 65 |
| 17.81 | 92 |
| 20.93 | 55 |
| 26.32 | 100 |
| 32.92 | 58 |
| 36.65 | 66 |

Atomic structure:
```
data_MgFeAsO5
_space_group_name_H-M_alt 'P 21 21 21'
_space_group_IT_number 19
_cell_length_a 6.141
_cell_length_b 8.120
_cell_length_c 8.507
_cell_angle_alpha 90.00
_cell_angle_beta 90.00
_cell_angle_gamma 90.00
loop_
_space_group_symop_operation_xyz
'x,y,z'
'-x+1/2,-y,z+1/2'
'x+1/2,-y+1/2,-z'
'-x,y+1/2,-z+1/2'
loop_
_atom_site_label
_atom_site_type_symbol
_atom_site_fract_x
_atom_site_fract_y
_atom_site_fract_z
_atom_site_occupancy
Mg1 Mg 0.109 0.156 0.318 1
Fe1 Fe 0.241 0.752 0.495 1
As1 As 0.021 0.093 0.679 1
O1 O 0.003 0.149 0.101 1
O2 O 0.015 0.404 0.915 1
O3 O 0.088 0.230 0.537 1
O4 O 0.215 0.652 0.727 1
O5 O 0.228 0.067 0.814 1
```

# 2
For Li2V3SnO8, DFT lattice parameters and positions (GGA+U) gives the computed XRD peak list in this record (Cu Kα (λ = 1.5418 Å)).
Kinematic intensities with the Lorentz-polarization factor, no thermal factor.

Principal peaks in the range 10 to 90 degrees two-theta, in order of rising 2θ:
| 2θ/deg | I_rel |
| --- | --- |
| 17.97 | 38 |
| 20.78 | 51 |
| 29.55 | 43 |
| 34.80 | 100 |
| 55.87 | 42 |
| 61.34 | 38 |

Atomic structure:
```
data_Li2V3SnO8
_space_group_name_H-M_alt 'R 3 m'
_space_group_IT_number 160
_space_group_name_Hall 'R 3 -2"'
_cell_length_a 6.0442
_cell_length_b 6.0442
_cell_length_c 14.8166
_cell_angle_alpha 90.00
_cell_angle_beta 90.00
_cell_angle_gamma 120.00
loop_
_atom_site_label
_atom_site_type_symbol
_atom_site_fract_x
_atom_site_fract_y
_atom_site_fract_z
_atom_site_occupancy
Li1 Li 0.0000 0.0000 0.0000 1
Li2 Li 0.0000 0.0000 0.3791 1
V1 V 0.0202 0.5101 0.8828 1
Sn1 Sn 0.0000 0.0000 0.7591 1
O1 O 0.0000 0.0000 0.1370 1
O2 O 0.0000 0.0000 0.6222 1
O3 O 0.0263 0.5132 0.1379 1
O4 O 0.1792 0.3585 0.9519 1
```